No. 1
Starting from the PBE geometry in the Materials Project, the X-ray powder pattern of MgAg20Bi4O16 was calculated for CuKα.
Peak positions follow from Bragg's law for the DFT cell and can differ from measured ones.

The 10 most intense peaks (10 to 90 degrees two-theta), sorted by position:
hkl -1 2 2, 2θ = 27.56°, d = 3.237 Å, I 47
hkl -1 1 4, 2θ = 32.18°, d = 2.782 Å, I 58
hkl 0 3 -2, 2θ = 32.48°, d = 2.757 Å, I 100
hkl 0 3 2, 2θ = 32.89°, d = 2.723 Å, I 46
hkl 1 1 4, 2θ = 33.35°, d = 2.686 Å, I 47
hkl 0 2 -4, 2θ = 33.56°, d = 2.671 Å, I 57
hkl 1 3 0, 2θ = 33.96°, d = 2.639 Å, I 72
hkl 2 1 -2, 2θ = 34.30°, d = 2.614 Å, I 49
hkl 2 -2 0, 2θ = 34.79°, d = 2.579 Å, I 44
hkl 2 2 0, 2θ = 36.72°, d = 2.447 Å, I 45

Structure:
abc: 6.0496 9.0578 13.1070
angles: 90.73 91.40 93.20
Fractional positions:
Mg1 0.0000 0.0000 0.0000
Ag1 0.0368 0.5283 0.4278
Ag2 0.0996 0.9964 0.6970
Ag3 0.1007 0.5148 0.9176
Ag4 0.2473 0.2845 0.3130
Ag5 0.2693 0.9105 0.3956
Ag6 0.2902 0.2710 0.5565
Ag7 0.3008 0.2810 0.0553
Ag8 0.3272 0.2595 0.8060
Ag9 0.3382 0.6277 0.7190
Ag10 0.4734 0.0477 0.1970
Ag11 0.5307 0.5307 0.4283
Ag12 0.5710 0.5234 0.9134
Ag13 0.5996 0.9930 0.7007
Ag14 0.7341 0.2323 0.9461
Ag15 0.8064 0.3951 0.2291
Ag16 0.8104 0.7655 0.5567
Ag17 0.8137 0.7567 0.3063
Ag18 0.8533 0.7142 0.0322
Ag19 0.8564 0.7720 0.8272
Ag20 0.9947 0.0333 0.2164
Bi1 0.3014 0.6527 0.1849
Bi2 0.4447 0.8921 0.9452
Bi3 0.7667 0.1291 0.4526
Bi4 0.8201 0.4019 0.6696
O1 0.1286 0.1325 0.4359
O2 0.2057 0.9177 0.1083
O3 0.2362 0.1173 0.9323
O4 0.2896 0.6667 0.3609
O5 0.3429 0.8636 0.7681
O6 0.3477 0.6439 0.0057
O7 0.3658 0.4191 0.1877
O8 0.4544 0.4020 0.6799
O9 0.6979 0.0434 0.0361
O10 0.7022 0.8869 0.4300
O11 0.7428 0.1678 0.2816
O12 0.7756 0.3969 0.4927
O13 0.8255 0.3976 0.8437
O14 0.8492 0.1257 0.6321
O15 0.9139 0.6393 0.6801
O16 0.9397 0.6176 0.1844

---

No. 2
Starting from the PBE geometry in the Materials Project, the X-ray powder pattern of MgAg20Bi4O16 was calculated for CuKα.
Peak positions follow from Bragg's law for the DFT cell and can differ from measured ones.

The 10 most intense peaks (10 to 90 degrees two-theta), sorted by position:
hkl 2 0 0, 2θ = 29.49°, d = 3.029 Å, I 71
hkl 1 1 4, 2θ = 31.91°, d = 2.804 Å, I 49
hkl 1 -1 4, 2θ = 32.63°, d = 2.745 Å, I 47
hkl 0 2 4, 2θ = 33.67°, d = 2.662 Å, I 54
hkl 2 -1 2, 2θ = 33.77°, d = 2.654 Å, I 54
hkl 1 1 -4, 2θ = 33.99°, d = 2.638 Å, I 83
hkl 0 3 -2, 2θ = 34.10°, d = 2.629 Å, I 100
hkl -2 1 2, 2θ = 34.70°, d = 2.585 Å, I 54
hkl 0 2 -4, 2θ = 35.06°, d = 2.559 Å, I 95
hkl 2 2 0, 2θ = 36.06°, d = 2.491 Å, I 87

Structure:
abc: 6.0600 8.7822 13.0116
angles: 87.66 87.02 89.95
Fractional positions:
Mg1 0.0000 0.0000 0.0000
Ag1 0.1501 0.6077 0.9689
Ag2 0.1597 0.0641 0.7074
Ag3 0.2025 0.5843 0.4648
Ag4 0.2385 0.1552 0.2042
Ag5 0.3960 0.8321 0.8365
Ag6 0.4007 0.8409 0.5793
Ag7 0.4092 0.2175 0.4867
Ag8 0.4424 0.8600 0.3347
Ag9 0.4557 0.8406 0.1031
Ag10 0.4637 0.4393 0.2082
Ag11 0.6524 0.0743 0.7017
Ag12 0.6641 0.6104 0.9732
Ag13 0.6725 0.1570 0.2405
Ag14 0.6944 0.5800 0.4665
Ag15 0.8696 0.3706 0.1013
Ag16 0.8739 0.8362 0.8314
Ag17 0.9391 0.6813 0.6547
Ag18 0.9416 0.2894 0.8407
Ag19 0.9607 0.3399 0.5981
Ag20 0.9819 0.3648 0.3380
Bi1 0.4403 0.4585 0.7251
Bi2 0.4550 0.1982 0.9595
Bi3 0.9169 0.9803 0.4483
Bi4 0.9574 0.7429 0.2173
O1 0.0791 0.4688 0.7268
O2 0.0894 0.5110 0.2106
O3 0.1062 0.2078 0.0288
O4 0.2787 0.9895 0.4553
O5 0.3224 0.9550 0.9715
O6 0.3870 0.1980 0.7894
O7 0.4206 0.4745 0.9052
O8 0.4379 0.4484 0.5439
O9 0.5088 0.7073 0.7081
O10 0.5977 0.7058 0.2268
O11 0.7857 0.0708 0.8990
O12 0.8584 0.2263 0.4669
O13 0.9067 0.7714 0.0299
O14 0.9181 0.9365 0.6294
O15 0.9528 0.7156 0.3937
O16 0.9600 0.0081 0.2735

---

No. 3
Starting from the PBE geometry in the Materials Project, the X-ray powder pattern of MgAg20Bi4O16 was calculated for CuKα.
Peak positions follow from Bragg's law for the DFT cell and can differ from measured ones.

The 10 most intense peaks (10 to 90 degrees two-theta), sorted by position:
hkl 0 2 4, 2θ = 32.06°, d = 2.792 Å, I 100
hkl 1 -1 4, 2θ = 32.21°, d = 2.779 Å, I 82
hkl -1 1 4, 2θ = 32.63°, d = 2.745 Å, I 87
hkl 1 3 0, 2θ = 32.69°, d = 2.739 Å, I 67
hkl 1 1 -4, 2θ = 33.55°, d = 2.671 Å, I 67
hkl 0 3 -2, 2θ = 33.89°, d = 2.645 Å, I 93
hkl 1 -3 0, 2θ = 34.16°, d = 2.625 Å, I 76
hkl 2 1 -2, 2θ = 34.67°, d = 2.587 Å, I 73
hkl 0 2 -4, 2θ = 34.82°, d = 2.576 Å, I 94
hkl -2 1 2, 2θ = 34.94°, d = 2.568 Å, I 67

Structure:
abc: 6.1057 9.0073 13.4410
angles: 84.92 85.53 86.56
Fractional positions:
Mg1 0.0000 0.0000 0.0000
Ag1 0.0145 0.2159 0.3475
Ag2 0.2293 0.4496 0.7080
Ag3 0.2325 0.4703 0.4617
Ag4 0.2347 0.0936 0.6108
Ag5 0.2369 0.4665 0.2194
Ag6 0.2534 0.4415 0.9686
Ag7 0.2568 0.8295 0.3371
Ag8 0.4525 0.2001 0.8290
Ag9 0.4546 0.6909 0.0867
Ag10 0.4581 0.7258 0.5839
Ag11 0.5078 0.2192 0.3488
Ag12 0.6160 0.9325 0.9470
Ag13 0.6504 0.5701 0.7910
Ag14 0.6678 0.9502 0.7027
Ag15 0.7396 0.9708 0.4657
Ag16 0.8305 0.3415 0.1364
Ag17 0.8338 0.9873 0.2309
Ag18 0.9397 0.6808 0.0859
Ag19 0.9475 0.2068 0.8133
Ag20 0.9681 0.7216 0.5854
Bi1 0.1680 0.8032 0.8265
Bi2 0.3717 0.1009 0.1272
Bi3 0.7327 0.3359 0.5803
Bi4 0.7327 0.6061 0.3473
O1 0.0104 0.1232 0.1124
O2 0.0934 0.6099 0.3374
O3 0.1262 0.5601 0.8400
O4 0.1881 0.0638 0.8801
O5 0.1899 0.8493 0.6535
O6 0.1910 0.8090 0.0093
O7 0.2860 0.0811 0.2903
O8 0.3725 0.3238 0.5815
O9 0.3947 0.3347 0.1008
O10 0.5232 0.7910 0.8161
O11 0.6587 0.8527 0.3435
O12 0.6931 0.3446 0.7521
O13 0.6960 0.5626 0.1762
O14 0.7323 0.6038 0.5189
O15 0.7426 0.3465 0.4047
O16 0.8197 0.0940 0.5845

---

No. 4
Starting from the PBE geometry in the Materials Project, the X-ray powder pattern of MgAg20Bi4O16 was calculated for CuKα.
Peak positions follow from Bragg's law for the DFT cell and can differ from measured ones.

The 10 most intense peaks (10 to 90 degrees two-theta), sorted by position:
hkl 1 -2 2, 2θ = 28.62°, d = 3.119 Å, I 33
hkl 1 1 4, 2θ = 31.98°, d = 2.798 Å, I 61
hkl 0 3 2, 2θ = 32.51°, d = 2.754 Å, I 100
hkl 1 1 -4, 2θ = 32.65°, d = 2.743 Å, I 67
hkl 0 3 -2, 2θ = 32.99°, d = 2.715 Å, I 73
hkl 1 -3 0, 2θ = 33.72°, d = 2.658 Å, I 59
hkl 0 2 -4, 2θ = 33.99°, d = 2.638 Å, I 42
hkl 2 -1 2, 2θ = 34.42°, d = 2.605 Å, I 39
hkl -2 1 2, 2θ = 34.52°, d = 2.598 Å, I 39
hkl 2 2 0, 2θ = 35.40°, d = 2.536 Å, I 43

Structure:
abc: 6.0209 9.0184 13.2252
angles: 88.72 89.30 88.37
Fractional positions:
Mg1 0.0000 0.0000 0.0000
Ag1 0.0073 0.4960 0.5910
Ag2 0.0324 0.5451 0.0896
Ag3 0.0350 0.0464 0.3278
Ag4 0.0417 0.9978 0.7943
Ag5 0.2084 0.7852 0.2180
Ag6 0.2585 0.4234 0.3035
Ag7 0.2612 0.7711 0.4622
Ag8 0.2962 0.7539 0.6972
Ag9 0.2967 0.1305 0.6147
Ag10 0.3371 0.7525 0.9255
Ag11 0.5023 0.4966 0.5878
Ag12 0.5299 0.0504 0.3275
Ag13 0.5313 0.5332 0.0961
Ag14 0.5938 0.0037 0.8806
Ag15 0.6564 0.8384 0.0567
Ag16 0.7338 0.6431 0.8035
Ag17 0.7405 0.2575 0.7120
Ag18 0.7681 0.2701 0.4607
Ag19 0.7895 0.3088 0.9608
Ag20 0.8161 0.2935 0.2122
Bi1 0.2548 0.3837 0.8380
Bi2 0.3344 0.1700 0.0895
Bi3 0.7423 0.6531 0.3446
Bi4 0.7863 0.8915 0.5728
O1 0.1084 0.6403 0.3448
O2 0.1558 0.6174 0.8180
O3 0.2280 0.1115 0.9065
O4 0.2413 0.9270 0.0904
O5 0.2600 0.3611 0.6631
O6 0.2807 0.1877 0.2578
O7 0.2899 0.4171 0.0168
O8 0.4194 0.9061 0.5758
O9 0.6195 0.4058 0.8313
O10 0.6761 0.4102 0.3371
O11 0.7533 0.6293 0.5213
O12 0.7723 0.6618 0.1693
O13 0.7758 0.8684 0.7395
O14 0.7805 0.9113 0.3882
O15 0.8554 0.1320 0.5858
O16 0.9626 0.1862 0.0817

---

No. 5
Starting from the PBE geometry in the Materials Project, the X-ray powder pattern of MgAg20Bi4O16 was calculated for CuKα.
Peak positions follow from Bragg's law for the DFT cell and can differ from measured ones.

The 10 most intense peaks (10 to 90 degrees two-theta), sorted by position:
hkl 0 0 4, 2θ = 26.56°, d = 3.356 Å, I 41
hkl 2 0 0, 2θ = 29.47°, d = 3.030 Å, I 37
hkl 0 3 2, 2θ = 31.80°, d = 2.814 Å, I 41
hkl 0 2 4, 2θ = 31.96°, d = 2.800 Å, I 75
hkl 1 -1 4, 2θ = 32.34°, d = 2.768 Å, I 40
hkl 1 3 0, 2θ = 32.52°, d = 2.753 Å, I 100
hkl 1 1 -4, 2θ = 33.24°, d = 2.695 Å, I 52
hkl 0 3 -2, 2θ = 33.93°, d = 2.642 Å, I 55
hkl 1 -3 0, 2θ = 34.43°, d = 2.605 Å, I 97
hkl 0 2 -4, 2θ = 34.75°, d = 2.581 Å, I 56

Structure:
abc: 6.0901 8.9988 13.5038
angles: 84.88 86.06 85.80
Fractional positions:
Mg1 0.0000 0.0000 0.0000
Ag1 0.0062 0.2329 0.8370
Ag2 0.0411 0.1990 0.3408
Ag3 0.2494 0.4632 0.2181
Ag4 0.2521 0.0780 0.6087
Ag5 0.2535 0.4533 0.4614
Ag6 0.2556 0.4526 0.9625
Ag7 0.2606 0.4441 0.7050
Ag8 0.2653 0.8263 0.3182
Ag9 0.4636 0.6937 0.0867
Ag10 0.4758 0.7084 0.5822
Ag11 0.5146 0.1958 0.8419
Ag12 0.5314 0.2038 0.3402
Ag13 0.6557 0.9016 0.9335
Ag14 0.6704 0.5494 0.7855
Ag15 0.6810 0.9322 0.7004
Ag16 0.7521 0.9523 0.4644
Ag17 0.8313 0.3395 0.1385
Ag18 0.8399 0.9688 0.2331
Ag19 0.9552 0.6823 0.0815
Ag20 0.9849 0.7026 0.5832
Bi1 0.1791 0.7996 0.8205
Bi2 0.3642 0.1078 0.1052
Bi3 0.7511 0.5900 0.3465
Bi4 0.7579 0.3138 0.5767
O1 0.1124 0.6004 0.3387
O2 0.1228 0.5682 0.8299
O3 0.2041 0.8114 0.0035
O4 0.2045 0.8322 0.6505
O5 0.2349 0.1284 0.9379
O6 0.3132 0.0738 0.2741
O7 0.3957 0.3056 0.5832
O8 0.3956 0.3414 0.0952
O9 0.5350 0.7695 0.8099
O10 0.6665 0.8331 0.3437
O11 0.7141 0.5661 0.1731
O12 0.7492 0.3244 0.7479
O13 0.7493 0.5841 0.5180
O14 0.7658 0.3231 0.4036
O15 0.8393 0.0716 0.5840
O16 0.9937 0.1150 0.1192

---

No. 6
Starting from the PBE geometry in the Materials Project, the X-ray powder pattern of Ag25Bi3O18 was calculated for CuKα.
Peak positions follow from Bragg's law for the DFT cell and can differ from measured ones.

The 10 most intense peaks (10 to 90 degrees two-theta), sorted by position:
hkl 3 0 0, 2θ = 26.28°, d = 3.391 Å, I 21
hkl 3 -1 1, 2θ = 27.04°, d = 3.297 Å, I 38
hkl 2 -1 2, 2θ = 31.80°, d = 2.814 Å, I 42
hkl 2 0 2, 2θ = 33.03°, d = 2.712 Å, I 100
hkl 3 1 1, 2θ = 34.74°, d = 2.582 Å, I 79
hkl 4 0 0, 2θ = 35.29°, d = 2.543 Å, I 93
hkl 1 2 2, 2θ = 36.49°, d = 2.462 Å, I 23
hkl 3 1 3, 2θ = 53.81°, d = 1.703 Å, I 21
hkl 2 4 2, 2θ = 55.76°, d = 1.649 Å, I 40
hkl 4 4 0, 2θ = 63.35°, d = 1.468 Å, I 17

Structure:
abc: 11.7457 11.7457 6.4112
angles: 90.00 90.00 120.00
Fractional positions:
Ag1 0.0000 0.0000 0.0000
Ag2 0.0000 0.5000 0.0000
Ag3 0.0000 0.5000 0.5000
Ag4 0.0208 0.7500 0.1555
Ag5 0.0482 0.3047 0.3393
Ag6 0.2350 0.7509 0.7524
Ag7 0.2491 0.4842 0.7524
Ag8 0.2500 0.2709 0.1555
Ag9 0.2565 0.9518 0.3393
Ag10 0.2709 0.0208 0.8445
Ag11 0.3047 0.2565 0.6607
Ag12 0.4842 0.2350 0.2476
Ag13 0.5000 0.0000 0.0000
Ag14 0.5000 0.0000 0.5000
Ag15 0.5000 0.5000 0.0000
Ag16 0.5000 0.5000 0.5000
Ag17 0.5158 0.7650 0.7524
Ag18 0.6953 0.7435 0.3393
Ag19 0.7291 0.9792 0.1555
Ag20 0.7435 0.0482 0.6607
Ag21 0.7500 0.7291 0.8445
Ag22 0.7509 0.5158 0.2476
Ag23 0.7650 0.2491 0.2476
Ag24 0.9518 0.6953 0.6607
Ag25 0.9792 0.2500 0.8445
Bi1 0.0000 0.0000 0.5000
Bi2 0.3333 0.6667 0.2408
Bi3 0.6667 0.3333 0.7592
O1 0.0776 0.9047 0.7067
O2 0.0953 0.1729 0.7067
O3 0.1603 0.6893 0.0606
O4 0.1729 0.0776 0.2933
O5 0.1825 0.5063 0.4512
O6 0.3107 0.4710 0.0606
O7 0.3238 0.8175 0.4512
O8 0.4710 0.1603 0.9394
O9 0.4937 0.6762 0.4512
O10 0.5063 0.3238 0.5488
O11 0.5290 0.8397 0.0606
O12 0.6762 0.1825 0.5488
O13 0.6893 0.5290 0.9394
O14 0.8175 0.4937 0.5488
O15 0.8271 0.9224 0.7067
O16 0.8397 0.3107 0.9394
O17 0.9047 0.8271 0.2933
O18 0.9224 0.0953 0.2933

---

Q: What is the formula in the first record?
A: MgAg20Bi4O16